1.
Starting from DFT lattice parameters and positions (PBE), the powder X-ray diffraction pattern of LaMg2GeAu was simulated for a wavelength of 1.5418 Å.
No peak broadening, texture or thermal motion is included.

Largest 12 diffraction maxima, by angle, 2θ from 5° to 70°:
| 2θ/deg | Rel. int. |
| --- | --- |
| 14.7 | 40 |
| 21.7 | 37 |
| 29.0 | 81 |
| 30.2 | 100 |
| 32.6 | 60 |
| 41.5 | 52 |
| 41.9 | 16 |
| 42.8 | 63 |
| 52.2 | 44 |
| 60.1 | 17 |
| 61.1 | 44 |
| 68.1 | 15 |

Atomic structure:
```
data_LaMg2GeAu
_cell_length_a 6.7817
_cell_length_b 6.7817
_cell_length_c 6.7817
_cell_angle_alpha 142.54
_cell_angle_beta 142.54
_cell_angle_gamma 54.02
_symmetry_space_group_name_H-M 'P 1'
_symmetry_Int_Tables_number 1
loop_
_symmetry_equiv_pos_as_xyz
'x,y,z'
loop_
_atom_site_label
_atom_site_fract_x
_atom_site_fract_y
_atom_site_fract_z
_atom_site_occupancy
La1 0.0000 0.0000 0.0000 1
Mg1 0.2638 0.7638 0.5000 1
Mg2 0.7638 0.2638 0.5000 1
Ge1 0.4127 0.4127 0.0000 1
Au1 0.6288 0.6288 0.0000 1
```



2.
Starting from DFT lattice parameters and positions (PBE), the powder X-ray diffraction pattern of LaPr2Ge4Pd2Au2 was simulated for a wavelength of 1.5418 Å.
No peak broadening, texture or thermal motion is included.

Largest 12 diffraction maxima, by angle, 2θ from 5° to 70°:
| 2θ/deg | Rel. int. |
| --- | --- |
| 27.1 | 11 |
| 32.2 | 100 |
| 37.8 | 19 |
| 40.9 | 21 |
| 41.9 | 20 |
| 44.2 | 14 |
| 53.0 | 13 |
| 57.7 | 11 |
| 60.0 | 14 |
| 62.5 | 10 |
| 66.1 | 10 |
| 69.1 | 8 |

Atomic structure:
```
data_LaPr2Ge4Pd2Au2
_cell_length_a 13.0908
_cell_length_b 13.0908
_cell_length_c 13.0908
_cell_angle_alpha 161.03
_cell_angle_beta 160.60
_cell_angle_gamma 27.27
_symmetry_space_group_name_H-M 'P 1'
_symmetry_Int_Tables_number 1
loop_
_symmetry_equiv_pos_as_xyz
'x,y,z'
loop_
_atom_site_label
_atom_site_fract_x
_atom_site_fract_y
_atom_site_fract_z
_atom_site_occupancy
La1 0.0000 0.0000 0.0000 1
Pr1 0.3493 0.8493 0.5000 1
Pr2 0.6507 0.1507 0.5000 1
Ge1 0.1983 0.6983 0.5000 1
Ge2 0.4504 0.4504 0.0000 1
Ge3 0.5496 0.5496 0.0000 1
Ge4 0.8017 0.3017 0.5000 1
Pd1 0.2498 0.2498 0.0000 1
Pd2 0.7502 0.7502 0.0000 1
Au1 0.0982 0.5982 0.5000 1
Au2 0.9018 0.4018 0.5000 1
```



3.
Starting from DFT lattice parameters and positions (PBE), the powder X-ray diffraction pattern of LaGeTeAuSe2 was simulated for a wavelength of 1.5418 Å.
No peak broadening, texture or thermal motion is included.

Largest 12 diffraction maxima, by angle, 2θ from 5° to 70°:
| 2θ/deg | Rel. int. |
| --- | --- |
| 12.8 | 47 |
| 15.3 | 15 |
| 27.4 | 13 |
| 30.1 | 28 |
| 30.9 | 25 |
| 33.1 | 100 |
| 33.6 | 15 |
| 42.3 | 19 |
| 44.1 | 19 |
| 45.8 | 13 |
| 46.0 | 10 |
| 52.9 | 10 |

Atomic structure:
```
data_LaGeTeAuSe2
_cell_length_a 7.2280
_cell_length_b 7.2280
_cell_length_c 11.5643
_cell_angle_alpha 90.00
_cell_angle_beta 90.00
_cell_angle_gamma 147.02
_symmetry_space_group_name_H-M 'P 1'
_symmetry_Int_Tables_number 1
loop_
_symmetry_equiv_pos_as_xyz
'x,y,z'
loop_
_atom_site_label
_atom_site_fract_x
_atom_site_fract_y
_atom_site_fract_z
_atom_site_occupancy
La1 0.0000 0.0000 0.0000 1
La2 0.0000 0.0000 0.5000 1
Ge1 0.1901 0.8099 0.7500 1
Ge2 0.8099 0.1901 0.2500 1
Te1 0.1125 0.8875 0.2500 1
Te2 0.8875 0.1125 0.7500 1
Au1 0.4751 0.5249 0.2500 1
Au2 0.5249 0.4751 0.7500 1
Se1 0.3515 0.6485 0.0747 1
Se2 0.3515 0.6485 0.4253 1
Se3 0.6485 0.3515 0.5747 1
Se4 0.6485 0.3515 0.9253 1
```



4.
Starting from DFT lattice parameters and positions (PBE), the powder X-ray diffraction pattern of LaTbGe2Au2 was simulated for a wavelength of 1.5418 Å.
No peak broadening, texture or thermal motion is included.

Largest 12 diffraction maxima, by angle, 2θ from 5° to 70°:
| 2θ/deg | Rel. int. |
| --- | --- |
| 23.2 | 5 |
| 25.5 | 31 |
| 32.7 | 100 |
| 39.9 | 69 |
| 42.2 | 15 |
| 46.6 | 5 |
| 47.4 | 8 |
| 47.9 | 6 |
| 52.5 | 26 |
| 59.4 | 6 |
| 63.6 | 20 |
| 67.9 | 24 |

Atomic structure:
```
data_LaTbGe2Au2
_cell_length_a 4.5224
_cell_length_b 4.5224
_cell_length_c 7.6771
_cell_angle_alpha 90.00
_cell_angle_beta 90.00
_cell_angle_gamma 120.00
_symmetry_space_group_name_H-M 'P 1'
_symmetry_Int_Tables_number 1
loop_
_symmetry_equiv_pos_as_xyz
'x,y,z'
loop_
_atom_site_label
_atom_site_fract_x
_atom_site_fract_y
_atom_site_fract_z
_atom_site_occupancy
La1 0.0000 0.0000 0.0000 1
Tb1 0.0000 0.0000 0.4958 1
Ge1 0.3333 0.6667 0.7011 1
Ge2 0.6667 0.3333 0.2200 1
Au1 0.3333 0.6667 0.2977 1
Au2 0.6667 0.3333 0.7480 1
```



5.
Starting from DFT lattice parameters and positions (PBE), the powder X-ray diffraction pattern of Li4GeAu2N was simulated for a wavelength of 1.5418 Å.
No peak broadening, texture or thermal motion is included.

Largest 12 diffraction maxima, by angle, 2θ from 5° to 70°:
| 2θ/deg | Rel. int. |
| --- | --- |
| 12.9 | 2 |
| 22.4 | 1 |
| 25.9 | 100 |
| 31.9 | 16 |
| 34.6 | 2 |
| 41.6 | 41 |
| 45.8 | 36 |
| 51.5 | 1 |
| 53.4 | 37 |
| 58.6 | 1 |
| 63.5 | 4 |
| 66.7 | 18 |

Atomic structure:
```
data_Li4GeAu2N
_cell_length_a 3.9638
_cell_length_b 3.9638
_cell_length_c 6.8740
_cell_angle_alpha 90.00
_cell_angle_beta 90.00
_cell_angle_gamma 90.00
_symmetry_space_group_name_H-M 'P 1'
_symmetry_Int_Tables_number 1
loop_
_symmetry_equiv_pos_as_xyz
'x,y,z'
loop_
_atom_site_label
_atom_site_fract_x
_atom_site_fract_y
_atom_site_fract_z
_atom_site_occupancy
Li1 0.0000 0.0000 0.0000 1
Li2 0.0000 0.5000 0.6818 1
Li3 0.5000 0.0000 0.3182 1
Li4 0.5000 0.5000 0.5000 1
Ge1 0.5000 0.5000 0.0000 1
Au1 0.0000 0.5000 0.2506 1
Au2 0.5000 0.0000 0.7494 1
N1 0.0000 0.0000 0.5000 1
```



6.
Starting from DFT lattice parameters and positions (PBE), the powder X-ray diffraction pattern of LuGeAu was simulated for a wavelength of 1.5418 Å.
No peak broadening, texture or thermal motion is included.

Largest 12 diffraction maxima, by angle, 2θ from 5° to 70°:
| 2θ/deg | Rel. int. |
| --- | --- |
| 26.3 | 35 |
| 34.3 | 100 |
| 40.7 | 75 |
| 44.7 | 22 |
| 49.1 | 7 |
| 51.1 | 6 |
| 54.2 | 27 |
| 56.8 | 5 |
| 62.0 | 8 |
| 65.6 | 6 |
| 67.3 | 15 |
| 69.9 | 26 |

Atomic structure:
```
data_LuGeAu
_cell_length_a 4.4376
_cell_length_b 4.4376
_cell_length_c 7.1491
_cell_angle_alpha 90.00
_cell_angle_beta 90.00
_cell_angle_gamma 120.00
_symmetry_space_group_name_H-M 'P 1'
_symmetry_Int_Tables_number 1
loop_
_symmetry_equiv_pos_as_xyz
'x,y,z'
loop_
_atom_site_label
_atom_site_fract_x
_atom_site_fract_y
_atom_site_fract_z
_atom_site_occupancy
Lu1 0.0000 0.0000 0.0000 1
Lu2 0.0000 0.0000 0.5000 1
Ge1 0.3333 0.6667 0.2060 1
Ge2 0.6667 0.3333 0.7060 1
Au1 0.3333 0.6667 0.7993 1
Au2 0.6667 0.3333 0.2993 1
```



7.
Starting from DFT lattice parameters and positions (PBE), the powder X-ray diffraction pattern of LuScGe2Au2 was simulated for a wavelength of 1.5418 Å.
No peak broadening, texture or thermal motion is included.

Largest 12 diffraction maxima, by angle, 2θ from 5° to 70°:
| 2θ/deg | Rel. int. |
| --- | --- |
| 12.6 | 11 |
| 25.3 | 14 |
| 26.6 | 77 |
| 34.7 | 100 |
| 41.0 | 92 |
| 45.4 | 40 |
| 48.8 | 15 |
| 49.5 | 15 |
| 54.8 | 27 |
| 62.8 | 15 |
| 66.2 | 13 |
| 68.3 | 15 |

Atomic structure:
```
data_LuScGe2Au2
_cell_length_a 4.4035
_cell_length_b 4.4035
_cell_length_c 7.0336
_cell_angle_alpha 90.00
_cell_angle_beta 90.00
_cell_angle_gamma 120.00
_symmetry_space_group_name_H-M 'P 1'
_symmetry_Int_Tables_number 1
loop_
_symmetry_equiv_pos_as_xyz
'x,y,z'
loop_
_atom_site_label
_atom_site_fract_x
_atom_site_fract_y
_atom_site_fract_z
_atom_site_occupancy
Lu1 0.0000 0.0000 0.0000 1
Sc1 0.0000 0.0000 0.5003 1
Ge1 0.3333 0.6667 0.2101 1
Ge2 0.6667 0.3333 0.6989 1
Au1 0.3333 0.6667 0.7950 1
Au2 0.6667 0.3333 0.3048 1
```



8.
Starting from DFT lattice parameters and positions (PBE), the powder X-ray diffraction pattern of LuGeTe3Au was simulated for a wavelength of 1.5418 Å.
No peak broadening, texture or thermal motion is included.

Largest 12 diffraction maxima, by angle, 2θ from 5° to 70°:
| 2θ/deg | Rel. int. |
| --- | --- |
| 11.7 | 68 |
| 14.1 | 12 |
| 29.0 | 29 |
| 31.9 | 31 |
| 32.2 | 100 |
| 34.1 | 14 |
| 40.2 | 21 |
| 43.8 | 20 |
| 44.2 | 26 |
| 48.7 | 10 |
| 49.6 | 10 |
| 55.2 | 13 |

Atomic structure:
```
data_LuGeTe3Au
_cell_length_a 7.8644
_cell_length_b 7.8644
_cell_length_c 11.2204
_cell_angle_alpha 90.00
_cell_angle_beta 90.00
_cell_angle_gamma 149.56
_symmetry_space_group_name_H-M 'P 1'
_symmetry_Int_Tables_number 1
loop_
_symmetry_equiv_pos_as_xyz
'x,y,z'
loop_
_atom_site_label
_atom_site_fract_x
_atom_site_fract_y
_atom_site_fract_z
_atom_site_occupancy
Lu1 0.0000 0.0000 0.0000 1
Lu2 0.0000 0.0000 0.5000 1
Ge1 0.1695 0.8305 0.7500 1
Ge2 0.8305 0.1695 0.2500 1
Te1 0.0879 0.9121 0.2500 1
Te2 0.3557 0.6443 0.0479 1
Te3 0.3557 0.6443 0.4521 1
Te4 0.6443 0.3557 0.5479 1
Te5 0.6443 0.3557 0.9521 1
Te6 0.9121 0.0879 0.7500 1
Au1 0.4645 0.5355 0.2500 1
Au2 0.5355 0.4645 0.7500 1
```



9.
Starting from DFT lattice parameters and positions (PBE), the powder X-ray diffraction pattern of TmLuGe2Au2 was simulated for a wavelength of 1.5418 Å.
No peak broadening, texture or thermal motion is included.

Largest 12 diffraction maxima, by angle, 2θ from 5° to 70°:
| 2θ/deg | Rel. int. |
| --- | --- |
| 26.3 | 34 |
| 34.2 | 100 |
| 40.6 | 74 |
| 44.6 | 21 |
| 49.0 | 7 |
| 50.8 | 6 |
| 54.1 | 27 |
| 56.6 | 5 |
| 61.9 | 8 |
| 65.5 | 6 |
| 67.0 | 16 |
| 69.8 | 34 |

Atomic structure:
```
data_TmLuGe2Au2
_cell_length_a 4.4409
_cell_length_b 4.4409
_cell_length_c 7.1839
_cell_angle_alpha 90.00
_cell_angle_beta 90.00
_cell_angle_gamma 120.00
_symmetry_space_group_name_H-M 'P 1'
_symmetry_Int_Tables_number 1
loop_
_symmetry_equiv_pos_as_xyz
'x,y,z'
loop_
_atom_site_label
_atom_site_fract_x
_atom_site_fract_y
_atom_site_fract_z
_atom_site_occupancy
Tm1 0.0000 0.0000 0.0000 1
Lu1 0.0000 0.0000 0.4999 1
Ge1 0.3333 0.6667 0.7062 1
Ge2 0.6667 0.3333 0.2065 1
Au1 0.3333 0.6667 0.2967 1
Au2 0.6667 0.3333 0.7960 1
```



10.
Starting from DFT lattice parameters and positions (PBE), the powder X-ray diffraction pattern of NaGe5Au3 was simulated for a wavelength of 1.5418 Å.
No peak broadening, texture or thermal motion is included.

Largest 12 diffraction maxima, by angle, 2θ from 5° to 70°:
| 2θ/deg | Rel. int. |
| --- | --- |
| 12.1 | 100 |
| 18.0 | 27 |
| 24.3 | 15 |
| 33.7 | 12 |
| 36.4 | 23 |
| 36.7 | 20 |
| 38.5 | 64 |
| 40.1 | 13 |
| 44.2 | 59 |
| 52.7 | 15 |
| 63.1 | 14 |
| 65.5 | 14 |

Atomic structure:
```
data_NaGe5Au3
_cell_length_a 5.7020
_cell_length_b 5.7020
_cell_length_c 7.3384
_cell_angle_alpha 90.00
_cell_angle_beta 90.00
_cell_angle_gamma 120.00
_symmetry_space_group_name_H-M 'P 1'
_symmetry_Int_Tables_number 1
loop_
_symmetry_equiv_pos_as_xyz
'x,y,z'
loop_
_atom_site_label
_atom_site_fract_x
_atom_site_fract_y
_atom_site_fract_z
_atom_site_occupancy
Na1 0.0000 0.0000 0.0000 1
Ge1 0.0000 0.0000 0.5000 1
Ge2 0.3333 0.6667 0.1958 1
Ge3 0.3333 0.6667 0.8042 1
Ge4 0.6667 0.3333 0.1958 1
Ge5 0.6667 0.3333 0.8042 1
Au1 0.0000 0.5000 0.5000 1
Au2 0.5000 0.0000 0.5000 1
Au3 0.5000 0.5000 0.5000 1
```



11.
Starting from DFT lattice parameters and positions (PBE), the powder X-ray diffraction pattern of NaGeAu3S4 was simulated for a wavelength of 1.5418 Å.
No peak broadening, texture or thermal motion is included.

Largest 12 diffraction maxima, by angle, 2θ from 5° to 70°:
| 2θ/deg | Rel. int. |
| --- | --- |
| 8.6 | 45 |
| 15.0 | 100 |
| 19.7 | 14 |
| 26.1 | 28 |
| 29.2 | 13 |
| 31.0 | 14 |
| 31.3 | 19 |
| 33.1 | 13 |
| 34.6 | 16 |
| 36.7 | 16 |
| 41.4 | 13 |
| 43.3 | 19 |

Atomic structure:
```
data_NaGeAu3S4
_cell_length_a 6.1144
_cell_length_b 7.2277
_cell_length_c 10.5798
_cell_angle_alpha 90.00
_cell_angle_beta 103.66
_cell_angle_gamma 90.00
_symmetry_space_group_name_H-M 'P 1'
_symmetry_Int_Tables_number 1
loop_
_symmetry_equiv_pos_as_xyz
'x,y,z'
loop_
_atom_site_label
_atom_site_fract_x
_atom_site_fract_y
_atom_site_fract_z
_atom_site_occupancy
Na1 0.0836 0.2500 0.3893 1
Na2 0.9164 0.7500 0.6107 1
Ge1 0.0668 0.2500 0.7747 1
Ge2 0.9332 0.7500 0.2253 1
Au1 0.3737 0.5486 0.0963 1
Au2 0.3737 0.9514 0.0963 1
Au3 0.4842 0.2500 0.6478 1
Au4 0.5158 0.7500 0.3522 1
Au5 0.6263 0.0486 0.9037 1
Au6 0.6263 0.4514 0.9037 1
S1 0.0497 0.7500 0.0342 1
S2 0.1778 0.7500 0.4193 1
S3 0.2721 0.5065 0.7590 1
S4 0.2721 0.9935 0.7590 1
S5 0.7279 0.0065 0.2410 1
S6 0.7279 0.4935 0.2410 1
S7 0.8222 0.2500 0.5807 1
S8 0.9503 0.2500 0.9658 1
```



12.
Starting from DFT lattice parameters and positions (PBE), the powder X-ray diffraction pattern of Na2SiGeAu2 was simulated for a wavelength of 1.5418 Å.
No peak broadening, texture or thermal motion is included.

Largest 12 diffraction maxima, by angle, 2θ from 5° to 70°:
| 2θ/deg | Rel. int. |
| --- | --- |
| 23.4 | 100 |
| 23.7 | 45 |
| 24.3 | 51 |
| 33.8 | 27 |
| 33.9 | 63 |
| 34.1 | 49 |
| 34.4 | 19 |
| 38.9 | 20 |
| 41.0 | 34 |
| 41.5 | 54 |
| 48.5 | 32 |
| 48.9 | 25 |

Atomic structure:
```
data_Na2SiGeAu2
_cell_length_a 5.6608
_cell_length_b 5.6608
_cell_length_c 7.3291
_cell_angle_alpha 129.77
_cell_angle_beta 129.77
_cell_angle_gamma 45.81
_symmetry_space_group_name_H-M 'P 1'
_symmetry_Int_Tables_number 1
loop_
_symmetry_equiv_pos_as_xyz
'x,y,z'
loop_
_atom_site_label
_atom_site_fract_x
_atom_site_fract_y
_atom_site_fract_z
_atom_site_occupancy
Na1 0.0000 0.0000 0.0000 1
Na2 0.1298 0.1298 0.6261 1
Si1 0.7372 0.7372 0.0651 1
Ge1 0.7320 0.7320 0.4015 1
Au1 0.3983 0.3983 0.1954 1
Au2 0.4261 0.4261 0.6346 1
```



13.
Starting from DFT lattice parameters and positions (PBE), the powder X-ray diffraction pattern of NaGeTe4Au3 was simulated for a wavelength of 1.5418 Å.
No peak broadening, texture or thermal motion is included.

Largest 12 diffraction maxima, by angle, 2θ from 5° to 70°:
| 2θ/deg | Rel. int. |
| --- | --- |
| 8.8 | 100 |
| 13.6 | 29 |
| 14.0 | 69 |
| 17.4 | 22 |
| 23.5 | 31 |
| 25.6 | 57 |
| 34.1 | 29 |
| 34.3 | 41 |
| 35.3 | 26 |
| 35.4 | 21 |
| 38.2 | 43 |
| 43.3 | 23 |

Atomic structure:
```
data_NaGeTe4Au3
_cell_length_a 6.9429
_cell_length_b 8.1757
_cell_length_c 10.5003
_cell_angle_alpha 90.00
_cell_angle_beta 107.89
_cell_angle_gamma 90.00
_symmetry_space_group_name_H-M 'P 1'
_symmetry_Int_Tables_number 1
loop_
_symmetry_equiv_pos_as_xyz
'x,y,z'
loop_
_atom_site_label
_atom_site_fract_x
_atom_site_fract_y
_atom_site_fract_z
_atom_site_occupancy
Na1 0.2394 0.2500 0.0862 1
Na2 0.7606 0.7500 0.9138 1
Ge1 0.2145 0.7500 0.2945 1
Ge2 0.7855 0.2500 0.7055 1
Te1 0.0383 0.5114 0.7432 1
Te2 0.0383 0.9886 0.7432 1
Te3 0.2899 0.7500 0.0620 1
Te4 0.4616 0.2500 0.4687 1
Te5 0.5384 0.7500 0.5313 1
Te6 0.7101 0.2500 0.9380 1
Te7 0.9617 0.0114 0.2568 1
Te8 0.9617 0.4886 0.2568 1
Au1 0.2055 0.0623 0.5508 1
Au2 0.2055 0.4377 0.5508 1
Au3 0.3154 0.2500 0.8187 1
Au4 0.6846 0.7500 0.1813 1
Au5 0.7945 0.5623 0.4492 1
Au6 0.7945 0.9377 0.4492 1
```



14.
Starting from DFT lattice parameters and positions (PBE), the powder X-ray diffraction pattern of Na4ZnGeAu2 was simulated for a wavelength of 1.5418 Å.
No peak broadening, texture or thermal motion is included.

Largest 12 diffraction maxima, by angle, 2θ from 5° to 70°:
| 2θ/deg | Rel. int. |
| --- | --- |
| 22.5 | 100 |
| 25.9 | 17 |
| 26.4 | 8 |
| 37.0 | 46 |
| 37.3 | 90 |
| 43.8 | 37 |
| 44.3 | 18 |
| 53.3 | 16 |
| 58.6 | 8 |
| 59.1 | 15 |
| 66.9 | 32 |
| 67.5 | 15 |

Atomic structure:
```
data_Na4ZnGeAu2
_cell_length_a 4.8577
_cell_length_b 4.8577
_cell_length_c 6.7599
_cell_angle_alpha 90.00
_cell_angle_beta 90.00
_cell_angle_gamma 90.00
_symmetry_space_group_name_H-M 'P 1'
_symmetry_Int_Tables_number 1
loop_
_symmetry_equiv_pos_as_xyz
'x,y,z'
loop_
_atom_site_label
_atom_site_fract_x
_atom_site_fract_y
_atom_site_fract_z
_atom_site_occupancy
Na1 0.0000 0.0000 0.0000 1
Na2 0.0000 0.5000 0.7452 1
Na3 0.5000 0.0000 0.2548 1
Na4 0.5000 0.5000 0.5000 1
Zn1 0.0000 0.0000 0.5000 1
Ge1 0.5000 0.5000 0.0000 1
Au1 0.0000 0.5000 0.2467 1
Au2 0.5000 0.0000 0.7533 1
```